The following is a simulated powder XRD pattern of K2MgH2. It was derived from a DFT-relaxed cell (GGA-PBE, Alexandria), using copper Kα.
Neutral-atom scattering factors, no anomalous dispersion.

Structure:
a = 4.9834 Å, b = 4.9834 Å, c = 11.9057 Å
α = 90.00°, β = 90.00°, γ = 90.00°
Space group I4/mmm (No. 139)
Unique sites:
K 0.0000 0.0000 0.1780 [4 per cell]
Mg 0.0000 0.0000 0.5000 [2 per cell]
H 0.0000 0.5000 0.2500 [4 per cell]

Largest 12 diffraction maxima, low angle first, 15° ≤ 2θ ≤ 90°:
| 2θ/deg | I (rel.) | index |
| --- | --- | --- |
| 25.3 | 687 | 1 1 0 |
| 28.8 | 1000 | 1 0 3 |
| 36.0 | 284 | 2 0 0 |
| 46.7 | 461 | 2 1 3 |
| 51.9 | 88 | 2 2 0 |
| 53.0 | 143 | 1 1 6 |
| 58.6 | 110 | 3 1 0 |
| 59.6 | 90 | 2 0 6 |
| 60.4 | 99 | 3 0 3 |
| 72.4 | 109 | 3 2 3 |
| 77.3 | 82 | 3 1 6 |
| 83.6 | 72 | 4 1 3 |